Entry 1:
The following is a simulated powder diffractogram of Dy5Ni4. It was derived from a DFT-relaxed cell (PBE, Alexandria), using λ = 1.5418 Å (Cu Kα).
Lines closer than 0.1° are merged.

Principal peaks in the range 15 to 90 degrees two-theta, by angle:
d/Å	2θ/deg	Rel. int.	h k l
3.260	27.36	50	2 0 -3
3.150	28.33	47	2 0 2
2.746	32.61	100	1 1 2
2.576	34.83	53	4 0 -1
2.555	35.13	78	1 1 -3
2.514	35.71	70	3 1 -1
2.225	40.55	37	3 1 -3
2.059	43.98	25	3 1 2
2.046	44.28	45	0 0 5
1.846	49.36	34	0 2 0

Crystal structure
```
data_Dy5Ni4
_cell_length_a 10.3095
_cell_length_b 3.6925
_cell_length_c 10.6421
_cell_angle_alpha 90.00
_cell_angle_beta 106.02
_cell_angle_gamma 90.00
_symmetry_space_group_name_H-M 'C 1 2/m 1'
_symmetry_Int_Tables_number 12
_symmetry_space_group_name_Hall '-C 2y'
loop_
_atom_site_label
_atom_site_fract_x
_atom_site_fract_y
_atom_site_fract_z
Dy1 0.0000 0.0000 0.0000
Dy2 0.1096 0.0000 0.3964
Dy3 0.2220 0.0000 0.8051
Ni1 0.0103 0.5000 0.8077
Ni2 0.1028 0.5000 0.6041
```

Entry 2:
The following is a simulated powder diffractogram of Dy7Ni3. It was derived from a DFT-relaxed cell (PBE, Alexandria), using λ = 1.5418 Å (Cu Kα).
Lines closer than 0.1° are merged.

Principal peaks in the range 15 to 90 degrees two-theta, by angle:
d/Å	2θ/deg	Rel. int.	h k l
3.149	28.34	18	2 1 0
2.890	30.94	41	1 0 2
2.804	31.91	100	2 1 1
2.532	35.45	38	3 0 1
2.477	36.26	34	2 0 2
2.405	37.39	27	2 2 0
1.652	55.65	24	3 0 3
1.624	56.67	24	3 2 2
1.609	57.27	22	5 0 1
1.604	57.47	16	3 3 0

Crystal structure
```
data_Dy7Ni3
_cell_length_a 9.6211
_cell_length_b 9.6211
_cell_length_c 6.1628
_cell_angle_alpha 90.00
_cell_angle_beta 90.00
_cell_angle_gamma 120.00
_symmetry_space_group_name_H-M 'P 63 m c'
_symmetry_Int_Tables_number 186
_symmetry_space_group_name_Hall 'P 6c -2c'
loop_
_atom_site_label
_atom_site_fract_x
_atom_site_fract_y
_atom_site_fract_z
Dy1 0.0812 0.5406 0.0000
Dy2 0.1258 0.2515 0.6845
Dy3 0.3333 0.6667 0.4804
Ni1 0.1898 0.3795 0.2555
```